Entry 1:
Structure and theoretical XRD peak list of K4BeAs2 (a structure optimized by DFT (GGA-PBE); Cu Kα).
Lines closer than 0.1° are merged.

Crystal structure
```
data_K4BeAs2
_chemical_formula_sum 'K4 Be1 As2'
_cell_length_a 9.300
_cell_length_b 9.300
_cell_length_c 9.300
_cell_angle_alpha 35.82
_cell_angle_beta 35.82
_cell_angle_gamma 35.82
_space_group_name_H-M_alt 'P 1'
_space_group_IT_number 1
loop_
_space_group_symop_operation_xyz
'x,y,z'
loop_
_atom_site_label
_atom_site_type_symbol
_atom_site_fract_x
_atom_site_fract_y
_atom_site_fract_z
_atom_site_occupancy
K1 K 0.124 0.124 0.124 1
K2 K 0.291 0.291 0.291 1
K3 K 0.709 0.709 0.709 1
K4 K 0.876 0.876 0.876 1
Be1 Be 0.500 0.500 0.500 1
As1 As 0.420 0.420 0.420 1
As2 As 0.580 0.580 0.580 1
```

Principal peaks in the range 15 to 90 degrees two-theta, by angle:
2θ (°), Rel. int.
18.2, 40
30.0, 78
31.3, 100
37.6, 26
43.9, 26
54.9, 26

=====

Entry 2:
Structure and theoretical XRD peak list of Nb6TlSe8 (a structure optimized by DFT (GGA-PBE); Cu Kα).
Lines closer than 0.1° are merged.

Crystal structure
```
data_Nb6TlSe8
_chemical_formula_sum 'Nb6 Tl1 Se8'
_cell_length_a 10.214
_cell_length_b 10.214
_cell_length_c 3.503
_cell_angle_alpha 90.00
_cell_angle_beta 90.00
_cell_angle_gamma 120.00
_space_group_name_H-M_alt 'P 1'
_space_group_IT_number 1
loop_
_space_group_symop_operation_xyz
'x,y,z'
loop_
_atom_site_label
_atom_site_type_symbol
_atom_site_fract_x
_atom_site_fract_y
_atom_site_fract_z
_atom_site_occupancy
Nb1 Nb 0.106 0.619 0.251 1
Nb2 Nb 0.381 0.488 0.251 1
Nb3 Nb 0.488 0.106 0.749 1
Nb4 Nb 0.512 0.894 0.251 1
Nb5 Nb 0.619 0.512 0.749 1
Nb6 Nb 0.894 0.381 0.749 1
Tl1 Tl 0.000 0.000 0.500 1
Se1 Se 0.060 0.341 0.247 1
Se2 Se 0.281 0.940 0.247 1
Se3 Se 0.333 0.667 0.750 1
Se4 Se 0.341 0.281 0.753 1
Se5 Se 0.659 0.719 0.247 1
Se6 Se 0.667 0.333 0.250 1
Se7 Se 0.719 0.060 0.753 1
Se8 Se 0.940 0.659 0.753 1
```

Principal peaks in the range 15 to 90 degrees two-theta, by angle:
2θ (°), Rel. int.
20.1, 31
30.3, 41
32.6, 41
36.6, 62
37.2, 100
43.9, 38

=====

Entry 3:
Structure and theoretical XRD peak list of Cu4BiSe4I (a structure optimized by DFT (GGA-PBE); Cu Kα).
Lines closer than 0.1° are merged.

Crystal structure
```
data_Cu4BiSe4I
_chemical_formula_sum 'Cu16 Bi4 Se16 I4'
_cell_length_a 9.757
_cell_length_b 4.142
_cell_length_c 23.184
_cell_angle_alpha 90.00
_cell_angle_beta 90.00
_cell_angle_gamma 90.00
_space_group_name_H-M_alt 'P 1'
_space_group_IT_number 1
loop_
_space_group_symop_operation_xyz
'x,y,z'
loop_
_atom_site_label
_atom_site_type_symbol
_atom_site_fract_x
_atom_site_fract_y
_atom_site_fract_z
_atom_site_occupancy
Cu1 Cu 0.025 0.250 0.238 1
Cu2 Cu 0.038 0.250 0.969 1
Cu3 Cu 0.142 0.250 0.795 1
Cu4 Cu 0.147 0.250 0.407 1
Cu5 Cu 0.353 0.750 0.907 1
Cu6 Cu 0.358 0.750 0.295 1
Cu7 Cu 0.462 0.750 0.469 1
Cu8 Cu 0.475 0.750 0.738 1
Cu9 Cu 0.525 0.250 0.262 1
Cu10 Cu 0.538 0.250 0.531 1
Cu11 Cu 0.642 0.250 0.705 1
Cu12 Cu 0.647 0.250 0.093 1
Cu13 Cu 0.853 0.750 0.593 1
Cu14 Cu 0.858 0.750 0.205 1
Cu15 Cu 0.962 0.750 0.031 1
Cu16 Cu 0.975 0.750 0.762 1
Bi1 Bi 0.217 0.250 0.624 1
Bi2 Bi 0.283 0.750 0.124 1
Bi3 Bi 0.717 0.250 0.876 1
Bi4 Bi 0.783 0.750 0.376 1
Se1 Se 0.037 0.750 0.659 1
Se2 Se 0.042 0.250 0.079 1
Se3 Se 0.143 0.750 0.846 1
Se4 Se 0.162 0.750 0.230 1
Se5 Se 0.338 0.250 0.730 1
Se6 Se 0.357 0.250 0.346 1
Se7 Se 0.458 0.750 0.579 1
Se8 Se 0.463 0.250 0.159 1
Se9 Se 0.537 0.750 0.841 1
Se10 Se 0.542 0.250 0.421 1
Se11 Se 0.643 0.750 0.654 1
Se12 Se 0.662 0.750 0.270 1
Se13 Se 0.838 0.250 0.770 1
Se14 Se 0.857 0.250 0.154 1
Se15 Se 0.958 0.750 0.921 1
Se16 Se 0.963 0.250 0.341 1
I1 I 0.184 0.750 0.477 1
I2 I 0.316 0.250 0.977 1
I3 I 0.684 0.750 0.023 1
I4 I 0.816 0.250 0.523 1
```

Principal peaks in the range 15 to 90 degrees two-theta, by angle:
2θ (°), Rel. int.
26.1, 82
26.5, 44
28.5, 100
30.4, 56
43.7, 54
47.4, 61

=====

Entry 4:
Structure and theoretical XRD peak list of ScZn2Ag (a structure optimized by DFT (GGA-PBE); Cu Kα).
Lines closer than 0.1° are merged.

Crystal structure
```
data_ScZn2Ag
_chemical_formula_sum 'Sc1 Zn2 Ag1'
_cell_length_a 4.584
_cell_length_b 4.584
_cell_length_c 4.584
_cell_angle_alpha 60.00
_cell_angle_beta 60.00
_cell_angle_gamma 60.00
_space_group_name_H-M_alt 'P 1'
_space_group_IT_number 1
loop_
_space_group_symop_operation_xyz
'x,y,z'
loop_
_atom_site_label
_atom_site_type_symbol
_atom_site_fract_x
_atom_site_fract_y
_atom_site_fract_z
_atom_site_occupancy
Sc1 Sc 0.000 0.000 0.000 1
Zn1 Zn 0.250 0.250 0.250 1
Zn2 Zn 0.750 0.750 0.750 1
Ag1 Ag 0.500 0.500 0.500 1
```

Principal peaks in the range 15 to 90 degrees two-theta, by angle:
2θ (°), Rel. int.
23.8, 12
39.3, 100
46.5, 6
56.8, 16
71.3, 31
84.5, 10

=====

Entry 5:
Structure and theoretical XRD peak list of BrO3 (a structure optimized by DFT (GGA-PBE); Cu Kα).
Lines closer than 0.1° are merged.

Crystal structure
```
data_BrO3
_chemical_formula_sum 'Br2 O6'
_cell_length_a 3.573
_cell_length_b 7.494
_cell_length_c 7.494
_cell_angle_alpha 55.71
_cell_angle_beta 90.00
_cell_angle_gamma 90.00
_space_group_name_H-M_alt 'P 1'
_space_group_IT_number 1
loop_
_space_group_symop_operation_xyz
'x,y,z'
loop_
_atom_site_label
_atom_site_type_symbol
_atom_site_fract_x
_atom_site_fract_y
_atom_site_fract_z
_atom_site_occupancy
Br1 Br 0.000 0.000 0.000 1
Br2 Br 0.500 0.500 0.500 1
O1 O 0.000 0.442 0.442 1
O2 O 0.107 0.794 0.656 1
O3 O 0.393 0.294 0.156 1
O4 O 0.500 0.942 0.942 1
O5 O 0.607 0.156 0.294 1
O6 O 0.893 0.656 0.794 1
```

Principal peaks in the range 15 to 90 degrees two-theta, by angle:
2θ (°), Rel. int.
25.4, 76
26.9, 62
28.8, 100
34.7, 75
37.4, 40
56.6, 26

=====

Entry 6:
Structure and theoretical XRD peak list of La2MgS4 (a structure optimized by DFT (GGA-PBE); Cu Kα).
Lines closer than 0.1° are merged.

Crystal structure
```
data_La2MgS4
_chemical_formula_sum 'La16 Mg8 S32'
_cell_length_a 13.265
_cell_length_b 7.981
_cell_length_c 13.144
_cell_angle_alpha 90.00
_cell_angle_beta 90.00
_cell_angle_gamma 90.00
_space_group_name_H-M_alt 'P 1'
_space_group_IT_number 1
loop_
_space_group_symop_operation_xyz
'x,y,z'
loop_
_atom_site_label
_atom_site_type_symbol
_atom_site_fract_x
_atom_site_fract_y
_atom_site_fract_z
_atom_site_occupancy
La1 La 0.110 0.113 0.000 1
La2 La 0.127 0.614 0.641 1
La3 La 0.135 0.368 0.310 1
La4 La 0.136 0.869 0.308 1
La5 La 0.364 0.869 0.808 1
La6 La 0.365 0.368 0.810 1
La7 La 0.373 0.614 0.141 1
La8 La 0.390 0.113 0.500 1
La9 La 0.610 0.887 0.000 1
La10 La 0.627 0.386 0.641 1
La11 La 0.635 0.632 0.310 1
La12 La 0.636 0.131 0.308 1
La13 La 0.864 0.131 0.808 1
La14 La 0.865 0.632 0.810 1
La15 La 0.873 0.386 0.141 1
La16 La 0.890 0.887 0.500 1
Mg1 Mg 0.111 0.615 0.009 1
Mg2 Mg 0.126 0.120 0.636 1
Mg3 Mg 0.374 0.120 0.136 1
Mg4 Mg 0.389 0.615 0.509 1
Mg5 Mg 0.611 0.385 0.009 1
Mg6 Mg 0.626 0.880 0.636 1
Mg7 Mg 0.874 0.880 0.136 1
Mg8 Mg 0.889 0.385 0.509 1
S1 S 0.010 0.115 0.195 1
S2 S 0.026 0.614 0.445 1
S3 S 0.027 0.627 0.182 1
S4 S 0.049 0.125 0.457 1
S5 S 0.209 0.118 0.810 1
S6 S 0.210 0.618 0.841 1
S7 S 0.231 0.861 0.087 1
S8 S 0.235 0.359 0.092 1
S9 S 0.265 0.359 0.592 1
S10 S 0.269 0.861 0.587 1
S11 S 0.290 0.618 0.341 1
S12 S 0.291 0.118 0.310 1
S13 S 0.451 0.125 0.957 1
S14 S 0.473 0.627 0.682 1
S15 S 0.474 0.614 0.945 1
S16 S 0.490 0.115 0.695 1
S17 S 0.510 0.885 0.195 1
S18 S 0.526 0.386 0.445 1
S19 S 0.527 0.373 0.182 1
S20 S 0.549 0.875 0.457 1
S21 S 0.709 0.882 0.810 1
S22 S 0.710 0.382 0.841 1
S23 S 0.731 0.139 0.087 1
S24 S 0.735 0.641 0.092 1
S25 S 0.765 0.641 0.592 1
S26 S 0.769 0.139 0.587 1
S27 S 0.790 0.382 0.341 1
S28 S 0.791 0.882 0.310 1
S29 S 0.951 0.875 0.957 1
S30 S 0.973 0.373 0.682 1
S31 S 0.974 0.386 0.945 1
S32 S 0.990 0.885 0.695 1
```

Principal peaks in the range 15 to 90 degrees two-theta, by angle:
2θ (°), Rel. int.
18.7, 28
24.3, 100
30.9, 63
33.2, 49
41.7, 29
46.0, 33

=====

Entry 7:
Structure and theoretical XRD peak list of BaLiAl3P2H2O14 (a structure optimized by DFT (GGA-PBE); Cu Kα).
Lines closer than 0.1° are merged.

Crystal structure
```
data_BaLiAl3P2H2O14
_chemical_formula_sum 'Ba1 Li1 Al3 P2 H2 O14'
_cell_length_a 6.530
_cell_length_b 7.178
_cell_length_c 7.677
_cell_angle_alpha 64.45
_cell_angle_beta 66.54
_cell_angle_gamma 64.65
_space_group_name_H-M_alt 'P 1'
_space_group_IT_number 1
loop_
_space_group_symop_operation_xyz
'x,y,z'
loop_
_atom_site_label
_atom_site_type_symbol
_atom_site_fract_x
_atom_site_fract_y
_atom_site_fract_z
_atom_site_occupancy
Ba1 Ba 0.000 0.000 0.000 1
Li1 Li 0.456 0.590 0.196 1
Al1 Al 0.109 0.413 0.512 1
Al2 Al 0.113 0.912 0.512 1
Al3 Al 0.604 0.907 0.529 1
P1 P 0.391 0.209 0.162 1
P2 P 0.842 0.610 0.867 1
H1 H 0.421 0.624 0.664 1
H2 H 0.794 0.190 0.377 1
O1 O 0.090 0.135 0.600 1
O2 O 0.142 0.696 0.411 1
O3 O 0.217 0.076 0.239 1
O4 O 0.269 0.408 0.249 1
O5 O 0.318 0.130 0.620 1
O6 O 0.422 0.751 0.544 1
O7 O 0.491 0.279 0.939 1
O8 O 0.597 0.057 0.265 1
O9 O 0.614 0.749 0.793 1
O10 O 0.778 0.516 0.094 1
O11 O 0.800 0.060 0.495 1
O12 O 0.907 0.692 0.411 1
O13 O 0.981 0.421 0.772 1
O14 O 0.999 0.759 0.787 1
```

Principal peaks in the range 15 to 90 degrees two-theta, by angle:
2θ (°), Rel. int.
15.6, 92
16.1, 100
25.0, 43
28.4, 37
28.5, 53
30.7, 46

=====

Entry 8:
Structure and theoretical XRD peak list of AuN (a structure optimized by DFT (GGA-PBE); Cu Kα).
Lines closer than 0.1° are merged.

Crystal structure
```
data_AuN
_chemical_formula_sum 'Au1 N1'
_cell_length_a 3.523
_cell_length_b 3.523
_cell_length_c 3.523
_cell_angle_alpha 60.00
_cell_angle_beta 60.00
_cell_angle_gamma 60.00
_space_group_name_H-M_alt 'P 1'
_space_group_IT_number 1
loop_
_space_group_symop_operation_xyz
'x,y,z'
loop_
_atom_site_label
_atom_site_type_symbol
_atom_site_fract_x
_atom_site_fract_y
_atom_site_fract_z
_atom_site_occupancy
Au1 Au 0.000 0.000 0.000 1
N1 N 0.750 0.750 0.750 1
```

Principal peaks in the range 15 to 90 degrees two-theta, by angle:
2θ (°), Rel. int.
31.1, 100
36.1, 44
51.9, 41
61.8, 43
84.8, 19
87.6, 16

=====

Entry 9:
Structure and theoretical XRD peak list of MgZn2N2 (a structure optimized by DFT (GGA-PBE); Cu Kα).
Lines closer than 0.1° are merged.

Crystal structure
```
data_MgZn2N2
_chemical_formula_sum 'Mg1 Zn2 N2'
_cell_length_a 3.347
_cell_length_b 3.347
_cell_length_c 5.828
_cell_angle_alpha 90.00
_cell_angle_beta 90.00
_cell_angle_gamma 120.00
_space_group_name_H-M_alt 'P 1'
_space_group_IT_number 1
loop_
_space_group_symop_operation_xyz
'x,y,z'
loop_
_atom_site_label
_atom_site_type_symbol
_atom_site_fract_x
_atom_site_fract_y
_atom_site_fract_z
_atom_site_occupancy
Mg1 Mg 0.000 0.000 0.000 1
Zn1 Zn 0.333 0.667 0.654 1
Zn2 Zn 0.667 0.333 0.346 1
N1 N 0.333 0.667 0.231 1
N2 N 0.667 0.333 0.769 1
```

Principal peaks in the range 15 to 90 degrees two-theta, by angle:
2θ (°), Rel. int.
15.2, 30
30.8, 23
34.6, 100
44.1, 90
54.9, 44
74.9, 23

=====

Entry 10:
Structure and theoretical XRD peak list of Er3Si6Pd20 (a structure optimized by DFT (GGA-PBE); Cu Kα).
Lines closer than 0.1° are merged.

Crystal structure
```
data_Er3Si6Pd20
_chemical_formula_sum 'Er3 Si6 Pd20'
_cell_length_a 8.702
_cell_length_b 8.702
_cell_length_c 8.702
_cell_angle_alpha 60.00
_cell_angle_beta 60.00
_cell_angle_gamma 60.00
_space_group_name_H-M_alt 'P 1'
_space_group_IT_number 1
loop_
_space_group_symop_operation_xyz
'x,y,z'
loop_
_atom_site_label
_atom_site_type_symbol
_atom_site_fract_x
_atom_site_fract_y
_atom_site_fract_z
_atom_site_occupancy
Er1 Er 0.000 0.000 0.000 1
Er2 Er 0.250 0.250 0.250 1
Er3 Er 0.750 0.750 0.750 1
Si1 Si 0.267 0.267 0.733 1
Si2 Si 0.267 0.733 0.267 1
Si3 Si 0.267 0.733 0.733 1
Si4 Si 0.733 0.267 0.267 1
Si5 Si 0.733 0.267 0.733 1
Si6 Si 0.733 0.733 0.267 1
Pd1 Pd 0.000 0.000 0.345 1
Pd2 Pd 0.000 0.000 0.655 1
Pd3 Pd 0.000 0.345 0.000 1
Pd4 Pd 0.000 0.345 0.655 1
Pd5 Pd 0.000 0.655 0.000 1
Pd6 Pd 0.000 0.655 0.345 1
Pd7 Pd 0.151 0.616 0.616 1
Pd8 Pd 0.345 0.000 0.000 1
Pd9 Pd 0.345 0.000 0.655 1
Pd10 Pd 0.345 0.655 0.000 1
Pd11 Pd 0.384 0.384 0.384 1
Pd12 Pd 0.384 0.384 0.849 1
Pd13 Pd 0.384 0.849 0.384 1
Pd14 Pd 0.616 0.151 0.616 1
Pd15 Pd 0.616 0.616 0.151 1
Pd16 Pd 0.616 0.616 0.616 1
Pd17 Pd 0.655 0.000 0.000 1
Pd18 Pd 0.655 0.000 0.345 1
Pd19 Pd 0.655 0.345 0.000 1
Pd20 Pd 0.849 0.384 0.384 1
```

Principal peaks in the range 15 to 90 degrees two-theta, by angle:
2θ (°), Rel. int.
32.5, 23
35.7, 37
38.0, 100
41.5, 33
43.5, 22
64.2, 30

=====

Entry 11:
Structure and theoretical XRD peak list of KCuN (a structure optimized by DFT (GGA-PBE); Cu Kα).
Lines closer than 0.1° are merged.

Crystal structure
```
data_KCuN
_chemical_formula_sum 'K1 Cu1 N1'
_cell_length_a 4.858
_cell_length_b 3.343
_cell_length_c 3.343
_cell_angle_alpha 60.60
_cell_angle_beta 90.00
_cell_angle_gamma 90.00
_space_group_name_H-M_alt 'P 1'
_space_group_IT_number 1
loop_
_space_group_symop_operation_xyz
'x,y,z'
loop_
_atom_site_label
_atom_site_type_symbol
_atom_site_fract_x
_atom_site_fract_y
_atom_site_fract_z
_atom_site_occupancy
K1 K 0.000 0.000 0.000 1
Cu1 Cu 0.500 0.664 0.664 1
N1 N 0.500 0.328 0.328 1
```

Principal peaks in the range 15 to 90 degrees two-theta, by angle:
2θ (°), Rel. int.
18.3, 27
36.0, 100
36.2, 49
37.0, 38
54.9, 22
68.1, 21